No. 1
Simulated powder XRD pattern of K2Ga12AgPt3 for Cu Kα (λ = 1.5418 Å), from a crystal structure in Alexandria, relaxed with GGA-PBE.
Lines closer than 0.1° are merged.

Atomic structure:
```
K2Ga12AgPt3
1.0
4.8429 2.7961 5.8281
-4.8429 2.7961 5.8281
0.0000 -5.5921 5.8281
K Ga Ag Pt
2 12 1 3
Cartesian
0.0000 0.0000 1.8835 K
0.0000 0.0000 15.6008 K
-2.3263 -1.3431 8.3437 Ga
0.0000 -1.8490 6.3781 Ga
-1.6013 0.9245 6.3781 Ga
0.0000 -2.6862 9.1407 Ga
-2.3263 1.3431 9.1407 Ga
-1.6013 -0.9245 11.1062 Ga
1.6013 0.9245 6.3782 Ga
2.3263 -1.3431 8.3437 Ga
0.0000 2.6862 8.3437 Ga
1.6013 -0.9245 11.1062 Ga
0.0000 1.8490 11.1062 Ga
2.3263 1.3431 9.1407 Ga
0.0000 0.0000 8.7422 Ag
-2.4215 -1.3980 5.8281 Pt
-2.4214 1.3980 11.6562 Pt
0.0000 2.7960 5.8281 Pt
```

Principal peaks in the range 5° ≤ 2θ ≤ 70°, low angle first:
| two_theta | I (rel.) |
| --- | --- |
| 11.7 | 100 |
| 21.8 | 48 |
| 23.5 | 12 |
| 30.7 | 18 |
| 37.1 | 39 |
| 37.6 | 13 |
| 42.1 | 21 |
| 43.5 | 19 |
| 46.9 | 20 |
| 48.9 | 21 |

No. 2
Simulated powder XRD pattern of La5GaAg4 for Cu Kα (λ = 1.5418 Å), from a crystal structure in Alexandria, relaxed with GGA-PBE.
Lines closer than 0.1° are merged.

Atomic structure:
```
La5GaAg4
1.0
3.8006 0.0000 0.0000
0.0000 3.8006 0.0000
0.0000 0.0000 19.1875
La Ga Ag
5 1 4
Cartesian
0.0000 0.0000 0.0000 La
0.0000 0.0000 3.8695 La
0.0000 0.0000 7.7595 La
0.0000 0.0000 11.4281 La
0.0000 0.0000 15.3180 La
1.9003 1.9003 9.5938 Ga
1.9003 1.9003 1.9223 Ag
1.9003 1.9003 5.7773 Ag
1.9003 1.9003 13.4102 Ag
1.9003 1.9003 17.2652 Ag
```

Principal peaks in the range 5° ≤ 2θ ≤ 70°, low angle first:
| two_theta | I (rel.) |
| --- | --- |
| 23.2 | 1 |
| 23.4 | 2 |
| 33.2 | 100 |
| 33.3 | 50 |
| 41.0 | 1 |
| 47.4 | 9 |
| 47.9 | 18 |
| 59.2 | 18 |
| 59.5 | 36 |
| 69.6 | 11 |

No. 3
Simulated powder XRD pattern of LaGa2Ag5 for Cu Kα (λ = 1.5418 Å), from a crystal structure in Alexandria, relaxed with GGA-PBE.
Lines closer than 0.1° are merged.

Atomic structure:
```
LaGa2Ag5
1.0
-2.1095 3.8459 5.0675
2.1095 -3.8459 5.0675
2.1095 3.8459 -5.0675
La Ga Ag
1 2 5
Cartesian
0.0000 0.0000 0.0000 La
2.1095 0.0000 2.4251 Ga
0.0000 3.8459 2.6425 Ga
2.1095 2.4140 -1.4714 Ag
2.1095 2.4140 1.4714 Ag
0.0000 3.8459 0.0000 Ag
0.0000 1.4318 3.5961 Ag
0.0000 1.4318 6.5389 Ag
```

Principal peaks in the range 5° ≤ 2θ ≤ 70°, low angle first:
| two_theta | I (rel.) |
| --- | --- |
| 32.7 | 86 |
| 34.0 | 100 |
| 36.1 | 15 |
| 41.2 | 36 |
| 42.7 | 48 |
| 42.9 | 39 |
| 43.3 | 15 |
| 44.4 | 15 |
| 45.1 | 14 |
| 62.1 | 30 |

No. 4
Simulated powder XRD pattern of LaGa6Ag2 for Cu Kα (λ = 1.5418 Å), from a crystal structure in Alexandria, relaxed with GGA-PBE.
Lines closer than 0.1° are merged.

Atomic structure:
```
LaGa6Ag2
1.0
-2.1268 3.6477 6.0187
2.1268 -3.6477 6.0187
2.1268 3.6477 -6.0187
La Ga Ag
1 6 2
Cartesian
0.0000 0.0000 0.0000 La
2.1268 -1.3756 2.3535 Ga
2.1268 2.3810 0.0000 Ga
2.1268 1.3756 2.3535 Ga
0.0000 2.2722 3.6653 Ga
0.0000 1.2668 6.0187 Ga
0.0000 5.0233 3.6653 Ga
2.1268 0.0000 4.6370 Ag
0.0000 3.6477 1.3817 Ag
```

Principal peaks in the range 5° ≤ 2θ ≤ 70°, low angle first:
| two_theta | I (rel.) |
| --- | --- |
| 28.5 | 48 |
| 28.6 | 21 |
| 33.2 | 100 |
| 38.7 | 49 |
| 39.4 | 21 |
| 42.5 | 38 |
| 43.2 | 28 |
| 43.5 | 45 |
| 55.3 | 13 |
| 62.5 | 30 |

No. 5
Simulated powder XRD pattern of LiLaGa4Ag2 for Cu Kα (λ = 1.5418 Å), from a crystal structure in Alexandria, relaxed with GGA-PBE.
Lines closer than 0.1° are merged.

Atomic structure:
```
LiLaGa4Ag2
1.0
2.2470 1.2973 8.8849
-2.2470 1.2973 8.8849
0.0000 -2.5947 8.8849
Li La Ga Ag
1 1 4 2
Cartesian
0.0000 0.0000 0.0000 Li
0.0000 0.0000 13.3274 La
0.0000 0.0000 2.7260 Ga
0.0000 0.0000 9.9799 Ga
0.0000 0.0000 16.6748 Ga
0.0000 0.0000 23.9287 Ga
0.0000 0.0000 7.1280 Ag
0.0000 0.0000 19.5267 Ag
```

Principal peaks in the range 5° ≤ 2θ ≤ 70°, low angle first:
| two_theta | I (rel.) |
| --- | --- |
| 23.1 | 20 |
| 28.4 | 50 |
| 30.2 | 14 |
| 35.5 | 79 |
| 40.1 | 100 |
| 44.0 | 15 |
| 50.3 | 12 |
| 51.0 | 19 |
| 54.6 | 22 |
| 69.9 | 21 |

No. 6
Simulated powder XRD pattern of La4GaAgN for Cu Kα (λ = 1.5418 Å), from a crystal structure in Alexandria, relaxed with GGA-PBE.
Lines closer than 0.1° are merged.

Atomic structure:
```
La4GaAgN
1.0
3.6156 -7.5627 0.0000
3.6156 7.5627 0.0000
0.0000 0.0000 7.2364
La Ga Ag N
8 2 2 2
Cartesian
1.8078 3.7813 0.0000 La
1.8078 3.7813 3.6182 La
3.6156 6.3684 5.4273 La
3.6156 1.1920 5.4273 La
1.8078 -3.7813 0.0000 La
1.8078 -3.7813 3.6182 La
3.6156 -1.1920 1.8091 La
3.6156 -6.3684 1.8091 La
3.6156 5.6694 1.8091 Ga
3.6156 -5.6694 5.4273 Ga
3.6156 1.8000 1.8091 Ag
3.6156 -1.8000 5.4273 Ag
3.6156 3.8304 5.4273 N
3.6156 -3.8304 1.8091 N
```

Principal peaks in the range 5° ≤ 2θ ≤ 70°, low angle first:
| two_theta | I (rel.) |
| --- | --- |
| 27.3 | 100 |
| 34.3 | 97 |
| 34.4 | 28 |
| 35.1 | 83 |
| 35.6 | 24 |
| 50.0 | 19 |
| 50.5 | 29 |
| 50.9 | 35 |
| 58.3 | 24 |
| 62.4 | 34 |

No. 7
Simulated powder XRD pattern of La2GaAgPd6 for Cu Kα (λ = 1.5418 Å), from a crystal structure in Alexandria, relaxed with GGA-PBE.
Lines closer than 0.1° are merged.

Atomic structure:
```
La2GaAgPd6
1.0
5.6673 0.0000 0.0000
2.8183 4.9234 0.0000
2.8147 1.6255 7.9827
La Ga Ag Pd
2 1 1 6
Cartesian
2.8402 1.6509 2.7954 La
8.4601 4.8979 5.1873 La
0.0000 0.0000 0.0000 Ga
5.6501 3.2744 3.9913 Ag
5.6122 4.8610 6.1725 Pd
4.2141 2.4290 6.1066 Pd
4.2812 4.1162 1.8263 Pd
7.0191 2.4327 6.1564 Pd
7.0862 4.1198 1.8761 Pd
5.6881 1.6878 1.8102 Pd
```

Principal peaks in the range 5° ≤ 2θ ≤ 70°, low angle first:
| two_theta | I (rel.) |
| --- | --- |
| 19.5 | 14 |
| 22.3 | 42 |
| 26.0 | 19 |
| 31.8 | 15 |
| 37.3 | 39 |
| 37.4 | 19 |
| 39.6 | 100 |
| 41.9 | 16 |
| 47.8 | 22 |
| 65.9 | 17 |

No. 8
Simulated powder XRD pattern of LiGa2Ag4 for Cu Kα (λ = 1.5418 Å), from a crystal structure in Alexandria, relaxed with GGA-PBE.
Lines closer than 0.1° are merged.

Atomic structure:
```
LiGa2Ag4
1.0
9.2086 -1.4495 0.0000
9.2086 1.4495 0.0000
-1.2251 0.0000 4.5979
Li Ga Ag
1 2 4
Cartesian
0.0000 0.0000 0.0000 Li
4.7785 0.0000 1.2816 Ga
12.4135 0.0000 3.3163 Ga
0.7822 0.0000 2.6731 Ag
5.6236 0.0000 3.9688 Ag
11.5684 0.0000 0.6292 Ag
16.4098 0.0000 1.9248 Ag
```

Principal peaks in the range 5° ≤ 2θ ≤ 70°, low angle first:
| two_theta | I (rel.) |
| --- | --- |
| 20.0 | 36 |
| 34.4 | 36 |
| 36.3 | 35 |
| 37.7 | 33 |
| 37.8 | 64 |
| 40.2 | 61 |
| 40.2 | 48 |
| 41.8 | 100 |
| 52.1 | 21 |
| 66.1 | 19 |

Question: Number 3 is which compound?
Answer: LaGa2Ag5